Entry 1:
Pr3Cu3Rh: theoretical X-ray diffraction stick pattern (Cu Kα (λ = 1.5418 Å)), based on a crystal structure in Alexandria, relaxed with PBE.
Intensities are scaled so that the largest is 100.

Structural model:
a b c (Å): 5.6087 5.6087 12.7781
angles (deg): 90.00 90.00 130.85
Atoms (fractional coordinates):
Pr1 0.0261 0.9739 0.7500
Pr2 0.2624 0.7376 0.0989
Pr3 0.2624 0.7376 0.4011
Pr4 0.7376 0.2624 0.5989
Pr5 0.7376 0.2624 0.9011
Pr6 0.9739 0.0261 0.2500
Cu1 0.3171 0.6829 0.7500
Cu2 0.4447 0.5553 0.5876
Cu3 0.4447 0.5553 0.9124
Cu4 0.5553 0.4447 0.0876
Cu5 0.5553 0.4447 0.4124
Cu6 0.6829 0.3171 0.2500
Rh1 0.0000 0.0000 0.0000
Rh2 0.0000 0.0000 0.5000

Principal peaks in the range 2θ = 15–90°, by intensity:
| two_theta | d [Å] | intensity |
| --- | --- | --- |
| 35.2 | 2.551 | 100 |
| 29.7 | 3.006 | 93 |
| 38.6 | 2.333 | 66 |
| 39.0 | 2.309 | 53 |
| 33.4 | 2.687 | 52 |
| 33.1 | 2.707 | 46 |
| 32.6 | 2.748 | 33 |
| 41.3 | 2.188 | 32 |

***

Entry 2:
Pr4Cu3Rh: theoretical X-ray diffraction stick pattern (Cu Kα (λ = 1.5418 Å)), based on a crystal structure in Alexandria, relaxed with PBE.
Intensities are scaled so that the largest is 100.

Structural model:
a b c (Å): 3.9630 4.5195 10.8253
angles (deg): 90.00 90.00 90.00
Atoms (fractional coordinates):
Pr1 0.0000 0.0000 0.0000
Pr2 0.0000 0.5000 0.2711
Pr3 0.5000 0.0000 0.4868
Pr4 0.5000 0.5000 0.7743
Cu1 0.0000 0.0000 0.6966
Cu2 0.0000 0.5000 0.5661
Cu3 0.5000 0.5000 0.0627
Rh1 0.5000 0.0000 0.2137

Principal peaks in the range 2θ = 15–90°, by intensity:
| two_theta | d [Å] | intensity |
| --- | --- | --- |
| 31.1 | 2.873 | 100 |
| 39.2 | 2.298 | 54 |
| 33.6 | 2.668 | 39 |
| 39.9 | 2.260 | 30 |
| 25.7 | 3.469 | 24 |
| 33.1 | 2.706 | 23 |
| 38.8 | 2.322 | 21 |
| 53.1 | 1.724 | 21 |

***

Question: What is the formula in the second record?
Answer: Pr4Cu3Rh